[1]
# K5In3F14
Theoretical X-ray diffraction stick pattern, Cu Kα, 1.54184 Å. Input: DFT lattice parameters and positions (PBE).

Main lines, low angle first (2θ from 10° to 90°):
Position (°2θ)	Rel. int.
13.17	19
14.74	34
21.91	24
26.51	100
29.74	16
31.19	25
43.63	32
44.69	16
50.84	22
52.72	29

Atomic structure:
a = 8.1115 Å, b = 8.1115 Å, c = 12.0179 Å
α = 90.00°, β = 90.00°, γ = 90.00°
Positions (direct):
K: 0.0000 0.0000 0.0000
K: 0.2196 0.2804 0.2500
K: 0.2196 0.2804 0.7500
K: 0.2804 0.7804 0.2500
K: 0.2804 0.7804 0.7500
K: 0.5000 0.5000 0.5000
K: 0.7196 0.2196 0.2500
K: 0.7196 0.2196 0.7500
K: 0.7804 0.7196 0.2500
K: 0.7804 0.7196 0.7500
In: 0.0000 0.0000 0.5000
In: 0.0000 0.5000 0.0000
In: 0.0000 0.5000 0.5000
In: 0.5000 0.0000 0.0000
In: 0.5000 0.0000 0.5000
In: 0.5000 0.5000 0.0000
F: 0.0000 0.0000 0.3272
F: 0.0000 0.0000 0.6728
F: 0.0414 0.6821 0.1199
F: 0.0414 0.6821 0.8801
F: 0.0848 0.2483 0.5000
F: 0.1821 0.5414 0.3801
F: 0.1821 0.5414 0.6199
F: 0.2483 0.9152 0.5000
F: 0.2517 0.4152 0.0000
F: 0.3179 0.0414 0.1199
F: 0.3179 0.0414 0.8801
F: 0.4152 0.7483 0.0000
F: 0.4586 0.1821 0.3801
F: 0.4586 0.1821 0.6199
F: 0.5000 0.5000 0.1728
F: 0.5000 0.5000 0.8272
F: 0.5414 0.8179 0.3801
F: 0.5414 0.8179 0.6199
F: 0.5848 0.2517 0.0000
F: 0.6821 0.9586 0.1199
F: 0.6821 0.9586 0.8801
F: 0.7483 0.5848 0.0000
F: 0.7517 0.0848 0.5000
F: 0.8179 0.4586 0.3801
F: 0.8179 0.4586 0.6199
F: 0.9152 0.7517 0.5000
F: 0.9586 0.3179 0.1199
F: 0.9586 0.3179 0.8801


[2]
# Ba3CaZn8
Theoretical X-ray diffraction stick pattern, Cu Kα, 1.54184 Å. Input: DFT lattice parameters and positions (PBE).

Main lines, low angle first (2θ from 10° to 90°):
Position (°2θ)	Rel. int.
25.83	13
29.32	27
34.03	36
35.43	100
39.52	14
55.08	20
56.05	18
60.82	16
61.86	16
87.35	8

Atomic structure:
a = 6.0927 Å, b = 6.0927 Å, c = 9.1161 Å
α = 90.00°, β = 90.00°, γ = 120.00°
Positions (direct):
Ba: 0.0000 0.0000 0.0000
Ba: 0.0000 0.0000 0.4038
Ba: 0.3333 0.6667 0.8960
Ca: 0.3333 0.6667 0.4927
Zn: 0.3692 0.1846 0.6990
Zn: 0.5146 0.0292 0.2068
Zn: 0.5146 0.4854 0.2068
Zn: 0.6667 0.3333 0.4520
Zn: 0.6667 0.3333 0.9563
Zn: 0.8154 0.1846 0.6990
Zn: 0.8154 0.6308 0.6990
Zn: 0.9708 0.4854 0.2068


[3]
# Be6NbFe6
Theoretical X-ray diffraction stick pattern, Cu Kα, 1.54184 Å. Input: DFT lattice parameters and positions (PBE).

Main lines, low angle first (2θ from 10° to 90°):
Position (°2θ)	Rel. int.
22.95	98
23.51	22
36.74	23
40.59	26
41.17	100
41.41	55
47.37	53
47.65	63
47.86	42
87.69	18

Atomic structure:
a = 5.8522 Å, b = 5.8522 Å, c = 5.8522 Å
α = 136.25°, β = 98.88°, γ = 97.08°
Positions (direct):
Be: 0.0000 0.0000 0.5000
Be: 0.0000 0.5000 0.0000
Be: 0.2288 0.2288 0.0000
Be: 0.5000 0.0000 0.0000
Be: 0.5000 0.5000 0.5000
Be: 0.7712 0.7712 0.0000
Nb: 0.0000 0.5000 0.5000
Fe: 0.1962 0.0000 0.1962
Fe: 0.3509 0.5000 0.8509
Fe: 0.3556 0.8556 0.5000
Fe: 0.6444 0.1444 0.5000
Fe: 0.6491 0.5000 0.1491
Fe: 0.8038 0.0000 0.8038


[4]
# ZnTeI
Theoretical X-ray diffraction stick pattern, Cu Kα, 1.54184 Å. Input: DFT lattice parameters and positions (PBE).

Main lines, low angle first (2θ from 10° to 90°):
Position (°2θ)	Rel. int.
14.99	14
23.92	100
26.14	24
27.69	41
29.42	24
40.27	18
40.64	22
41.55	15
44.71	16
48.85	13

Atomic structure:
a = 5.7932 Å, b = 6.4086 Å, c = 6.7928 Å
α = 62.29°, β = 74.54°, γ = 76.78°
Positions (direct):
Zn: 0.0000 0.0000 0.0000
Zn: 0.3083 0.2732 0.2596
Te: 0.7009 0.4018 0.9436
Te: 0.8889 0.5552 0.1914
I: 0.1824 0.8465 0.3801
I: 0.3984 0.1402 0.6826